# TcSnIrOsS
Simulated PXRD pattern, Cu Kα. Input: a GGA-PBE-relaxed structure.
Lines closer than 0.1° are merged.

Main lines, by intensity (2θ from 5° to 70°):
- (3 1 -1), 39.09 deg, I 100
- (2 0 0), 14.00 deg, I 77
- (3 1 1), 46.23 deg, I 74
- (4 0 0), 28.22 deg, I 63
- (1 1 -1), 36.15 deg, I 56
- (0 0 2), 40.34 deg, I 51
- (6 0 0), 42.91 deg, I 38
- (1 1 1), 38.80 deg, I 37
- (2 0 -1), 20.13 deg, I 33
- (7 1 -1), 57.65 deg, I 28

Structural model:
Lattice parameters (Å, degrees): 13.4185 2.9170 4.7440 90.00 109.52 90.00
Space group Cm (No. 8)
One atom of each set of equivalent atoms:
Tc (0.0000, 0.0000, 0.0000) x2
Sn (0.1707, 0.0000, 0.5123) x2
Ir (0.1752, 0.5000, 0.0043) x2
Os (0.4778, 0.0000, 0.5237) x2
S (0.3624, 0.5000, 0.1958) x2